Entry 1:
Calculated PXRD pattern of Li2MgPSe for λ = 1.5418 Å (Cu Kα), from a PBE-relaxed structure.
No peak broadening, texture or thermal motion is included.

Atomic structure:
```
5
Lattice="5.573 0.000 0.000 0.000 5.573 0.000 0.000 0.000 4.727" Properties=species:S:1:pos:R:3 pbc="T T T"
Li 0.000 2.786 0.000
Li 2.786 0.000 0.000
Mg 0.000 0.000 0.000
P 2.786 2.786 2.364
Se 0.000 0.000 2.364
```

Largest 12 diffraction maxima, by angle, 10 to 90 degrees two-theta:
| 2θ (°) | I (rel.) |
| --- | --- |
| 15.9 | 74.4 |
| 18.8 | 27.1 |
| 22.6 | 100.0 |
| 29.5 | 56.3 |
| 32.1 | 53.1 |
| 36.0 | 20.2 |
| 44.7 | 30.1 |
| 46.1 | 18.7 |
| 50.6 | 28.1 |
| 51.9 | 19.1 |
| 55.7 | 17.7 |
| 66.1 | 18.1 |

Entry 2:
Calculated PXRD pattern of NdDy3Y7 for λ = 1.5418 Å (Cu Kα), from a PBE-relaxed structure.
No peak broadening, texture or thermal motion is included.

Atomic structure:
```
11
Lattice="6.933 0.000 0.000 0.000 5.571 0.000 -3.304 0.000 9.438" Properties=species:S:1:pos:R:3 pbc="T T T"
Nd 0.000 0.000 0.000
Dy 0.283 2.786 4.684
Dy 3.467 0.000 0.000
Dy 3.346 2.786 4.755
Y -1.652 0.000 4.719
Y -1.580 2.786 7.440
Y 1.773 2.786 1.319
Y 1.851 0.000 3.125
Y 1.779 0.000 6.313
Y 1.857 2.786 8.119
Y 5.210 2.786 1.999
```

Largest 12 diffraction maxima, by angle, 10 to 90 degrees two-theta:
| 2θ (°) | I (rel.) |
| --- | --- |
| 18.5 | 23.3 |
| 18.8 | 26.3 |
| 31.2 | 16.7 |
| 31.6 | 23.3 |
| 31.7 | 100.0 |
| 32.0 | 66.0 |
| 32.1 | 61.7 |
| 32.3 | 25.2 |
| 32.7 | 73.2 |
| 45.8 | 18.1 |
| 46.2 | 25.4 |
| 63.2 | 14.8 |

Entry 3:
Calculated PXRD pattern of YHo12In6 for λ = 1.5418 Å (Cu Kα), from a PBE-relaxed structure.
No peak broadening, texture or thermal motion is included.

Atomic structure:
```
19
Lattice="6.938 4.006 3.698 -6.938 4.006 3.698 0.000 -8.012 3.698" Properties=species:S:1:pos:R:3 pbc="T T T"
Y 0.000 0.000 0.000
Ho -2.612 -4.524 5.547
Ho -5.224 0.000 5.547
Ho -1.841 -1.063 3.937
Ho 1.841 -1.063 3.937
Ho 0.000 2.126 3.937
Ho 2.612 -4.524 5.547
Ho -2.612 4.524 5.547
Ho 0.000 -2.126 7.156
Ho -1.841 1.063 7.156
Ho 1.841 1.063 7.156
Ho 5.224 0.000 5.547
Ho 2.612 4.524 5.547
In 0.000 -3.647 4.397
In -3.159 1.824 4.397
In -3.159 -1.824 6.696
In 3.159 1.824 4.397
In 3.159 -1.824 6.696
In 0.000 3.647 6.696
```

Largest 12 diffraction maxima, by angle, 10 to 90 degrees two-theta:
| 2θ (°) | I (rel.) |
| --- | --- |
| 10.9 | 30.5 |
| 12.8 | 25.9 |
| 27.3 | 43.6 |
| 28.0 | 100.0 |
| 33.0 | 67.7 |
| 33.2 | 22.8 |
| 33.5 | 36.8 |
| 33.9 | 55.8 |
| 35.7 | 25.9 |
| 40.9 | 47.3 |
| 49.3 | 27.0 |
| 58.8 | 22.6 |